Structure and calculated X-ray powder pattern of ErB2 (the GGA-PBE geometry in the Materials Project; Cu Ka).
Neutral-atom scattering factors, no anomalous dispersion.

Top 8 peaks for 2θ from 5° to 70°, sorted by position:
- 23.42°, I = 47
- 31.53°, I = 76
- 39.65°, I = 100
- 47.89°, I = 10
- 56.15°, I = 19
- 58.47°, I = 27
- 61.66°, I = 21
- 65.83°, I = 10

Atomic structure:
```
ErB2
1.0
3.276 0.000 0.000
-1.638 2.837 0.000
0.000 0.000 3.799
Er B
1 2
Direct
0.000 0.000 0.000
0.333 0.667 0.500
0.667 0.333 0.500
```


Structure and calculated X-ray powder pattern of ErB12 (the GGA-PBE geometry in the Materials Project; Cu Ka).
Neutral-atom scattering factors, no anomalous dispersion.

Top 10 peaks for 2θ from 5° to 70°, sorted by position:
- 20.57°, I = 97
- 23.79°, I = 73
- 33.90°, I = 44
- 39.98°, I = 100
- 41.84°, I = 30
- 48.70°, I = 11
- 53.39°, I = 33
- 54.89°, I = 24
- 60.65°, I = 29
- 64.76°, I = 16

Atomic structure:
```
ErB12
1.0
0.000 3.740 3.740
3.740 0.000 3.740
3.740 3.740 0.000
Er B
1 12
Direct
0.000 0.000 0.000
0.162 0.500 0.500
0.162 0.500 0.838
0.162 0.838 0.500
0.500 0.162 0.500
0.500 0.162 0.838
0.500 0.500 0.162
0.500 0.500 0.838
0.500 0.838 0.162
0.500 0.838 0.500
0.838 0.162 0.500
0.838 0.500 0.162
0.838 0.500 0.500
```


Structure and calculated X-ray powder pattern of ErFe4B (the GGA-PBE geometry in the Materials Project; Cu Ka).
Neutral-atom scattering factors, no anomalous dispersion.

Top 10 peaks for 2θ from 5° to 70°, sorted by position:
- 20.40°, I = 22
- 32.78°, I = 98
- 35.72°, I = 34
- 38.02°, I = 8
- 41.48°, I = 71
- 44.32°, I = 100
- 52.12°, I = 15
- 62.32°, I = 31
- 64.79°, I = 15
- 68.70°, I = 20

Atomic structure:
```
ErFe4B
1.0
5.028 0.000 0.000
-2.514 4.354 0.000
0.000 0.000 7.019
Er Fe B
2 8 2
Direct
0.000 0.000 0.000
0.000 0.000 0.500
0.000 0.500 0.216
0.000 0.500 0.784
0.333 0.667 0.500
0.500 0.000 0.216
0.500 0.000 0.784
0.500 0.500 0.216
0.500 0.500 0.784
0.667 0.333 0.500
0.333 0.667 0.000
0.667 0.333 0.000
```


Structure and calculated X-ray powder pattern of ErFeB4 (the GGA-PBE geometry in the Materials Project; Cu Ka).
Neutral-atom scattering factors, no anomalous dispersion.

Top 10 peaks for 2θ from 5° to 70°, sorted by position:
- 21.84°, I = 26
- 26.57°, I = 65
- 28.13°, I = 31
- 31.58°, I = 87
- 34.65°, I = 22
- 39.08°, I = 33
- 41.72°, I = 100
- 44.66°, I = 22
- 47.75°, I = 19
- 64.56°, I = 22

Atomic structure:
```
ErFeB4
1.0
5.858 0.000 0.000
0.000 11.319 0.000
0.000 0.000 3.355
Er Fe B
4 4 16
Direct
0.127 0.150 0.000
0.373 0.650 0.000
0.627 0.350 0.000
0.873 0.850 0.000
0.134 0.411 0.000
0.366 0.911 0.000
0.634 0.089 0.000
0.866 0.589 0.000
0.023 0.690 0.500
0.111 0.546 0.500
0.138 0.968 0.500
0.216 0.816 0.500
0.284 0.316 0.500
0.362 0.468 0.500
0.389 0.046 0.500
0.477 0.190 0.500
0.523 0.810 0.500
0.611 0.954 0.500
0.638 0.532 0.500
0.716 0.684 0.500
0.784 0.184 0.500
0.862 0.032 0.500
0.889 0.454 0.500
0.977 0.310 0.500
```


Structure and calculated X-ray powder pattern of Er3FeB7 (the GGA-PBE geometry in the Materials Project; Cu Ka).
Neutral-atom scattering factors, no anomalous dispersion.

Top 10 peaks for 2θ from 5° to 70°, sorted by position:
- 26.86°, I = 78
- 30.02°, I = 99
- 31.22°, I = 69
- 32.97°, I = 60
- 34.58°, I = 42
- 39.92°, I = 100
- 40.50°, I = 40
- 44.05°, I = 40
- 57.90°, I = 38
- 63.01°, I = 42

Atomic structure:
```
Er3FeB7
1.0
1.699 -7.781 0.000
1.699 7.781 0.000
0.000 0.000 9.244
Er Fe B
6 2 14
Direct
0.105 0.895 0.560
0.105 0.895 0.940
0.244 0.756 0.250
0.756 0.244 0.750
0.895 0.105 0.060
0.895 0.105 0.440
0.054 0.946 0.250
0.946 0.054 0.750
0.273 0.727 0.533
0.273 0.727 0.967
0.370 0.630 0.653
0.370 0.630 0.847
0.458 0.542 0.250
0.479 0.521 0.598
0.479 0.521 0.902
0.521 0.479 0.098
0.521 0.479 0.402
0.542 0.458 0.750
0.630 0.370 0.153
0.630 0.370 0.347
0.727 0.273 0.033
0.727 0.273 0.467
```